[1]
The following is a simulated X-ray diffraction stick pattern of Np3Pa2S8. It was derived from the PBE geometry in Alexandria, using copper Kα.

Top 8 peaks for 10 to 90 degrees two-theta, most intense first:
- 2θ = 38.7°, rel. 100.0
- 2θ = 23.4°, rel. 70.1
- 2θ = 27.1°, rel. 59.2
- 2θ = 38.6°, rel. 21.9
- 2θ = 69.9°, rel. 21.5
- 2θ = 29.6°, rel. 21.3
- 2θ = 55.8°, rel. 19.6
- 2θ = 22.4°, rel. 19.3

```
Np3Pa2S8
1.0
4.650 -6.584 0.000
4.650 6.584 0.000
0.000 0.000 4.670
Np Pa S
3 2 8
Direct
0.000 0.000 0.000 Np
0.278 0.278 0.500 Np
0.722 0.722 0.500 Np
0.260 0.740 0.000 Pa
0.740 0.260 0.000 Pa
0.121 0.369 0.000 S
0.121 0.879 0.500 S
0.368 0.632 0.500 S
0.369 0.121 0.000 S
0.631 0.879 0.000 S
0.632 0.368 0.500 S
0.879 0.121 0.500 S
0.879 0.631 0.000 S
```

=====

[2]
The following is a simulated X-ray diffraction stick pattern of YBe2GaPd2. It was derived from the PBE geometry in Alexandria, using copper Kα.

Top 8 peaks for 10 to 90 degrees two-theta, most intense first:
- 2θ = 38.7°, rel. 100.0
- 2θ = 30.4°, rel. 90.5
- 2θ = 59.6°, rel. 54.7
- 2θ = 43.5°, rel. 37.8
- 2θ = 71.7°, rel. 14.5
- 2θ = 76.6°, rel. 12.8
- 2θ = 74.9°, rel. 12.8
- 2θ = 63.2°, rel. 12.1

```
YBe2GaPd2
1.0
4.160 0.000 0.000
0.000 4.160 0.000
0.000 0.000 5.620
Y Be Ga Pd
1 2 1 2
Direct
0.000 0.000 0.000 Y
0.000 0.500 0.500 Be
0.500 0.000 0.500 Be
0.000 0.000 0.500 Ga
0.500 0.500 0.250 Pd
0.500 0.500 0.750 Pd
```

=====

[3]
The following is a simulated X-ray diffraction stick pattern of Sm2Fe3B6. It was derived from the PBE geometry in Alexandria, using copper Kα.

Top 8 peaks for 10 to 90 degrees two-theta, most intense first:
- 2θ = 40.0°, rel. 100.0
- 2θ = 30.8°, rel. 47.6
- 2θ = 24.9°, rel. 41.5
- 2θ = 32.1°, rel. 32.2
- 2θ = 23.4°, rel. 25.5
- 2θ = 58.8°, rel. 24.5
- 2θ = 47.8°, rel. 23.8
- 2θ = 69.3°, rel. 23.4

```
Sm2Fe3B6
1.0
3.803 -4.489 0.000
3.803 4.489 0.000
0.000 0.000 3.570
Sm Fe B
2 3 6
Direct
0.215 0.785 0.000 Sm
0.785 0.215 0.000 Sm
0.294 0.294 0.000 Fe
0.500 0.500 0.500 Fe
0.706 0.706 0.000 Fe
0.115 0.419 0.500 B
0.122 0.122 0.500 B
0.419 0.115 0.500 B
0.581 0.885 0.500 B
0.878 0.878 0.500 B
0.885 0.581 0.500 B
```

=====

[4]
The following is a simulated X-ray diffraction stick pattern of CePaAu2. It was derived from the PBE geometry in Alexandria, using copper Kα.

Top 8 peaks for 10 to 90 degrees two-theta, most intense first:
- 2θ = 34.4°, rel. 100.0
- 2θ = 39.3°, rel. 35.3
- 2θ = 68.1°, rel. 28.5
- 2θ = 58.4°, rel. 22.2
- 2θ = 41.4°, rel. 15.0
- 2θ = 71.1°, rel. 12.3
- 2θ = 56.7°, rel. 12.2
- 2θ = 72.6°, rel. 11.8

```
CePaAu2
1.0
3.246 0.000 0.000
0.000 3.246 0.000
0.000 0.000 8.721
Ce Pa Au
1 1 2
Direct
0.000 0.000 0.000 Ce
0.000 0.000 0.500 Pa
0.500 0.500 0.256 Au
0.500 0.500 0.744 Au
```

=====

[5]
The following is a simulated X-ray diffraction stick pattern of Sm6Ho2Sc. It was derived from the PBE geometry in Alexandria, using copper Kα.

Top 8 peaks for 10 to 90 degrees two-theta, most intense first:
- 2θ = 30.9°, rel. 100.0
- 2θ = 32.0°, rel. 86.4
- 2θ = 31.6°, rel. 62.7
- 2θ = 30.1°, rel. 42.5
- 2θ = 34.1°, rel. 26.3
- 2θ = 29.0°, rel. 20.7
- 2θ = 34.3°, rel. 19.9
- 2θ = 35.4°, rel. 19.6

```
Sm6Ho2Sc
1.0
8.531 -1.746 0.000
8.531 1.746 0.000
-6.839 0.000 9.838
Sm Ho Sc
6 2 1
Direct
0.049 0.049 0.253 Sm
0.222 0.222 0.608 Sm
0.383 0.383 0.941 Sm
0.617 0.617 0.059 Sm
0.778 0.778 0.392 Sm
0.951 0.951 0.747 Sm
0.335 0.335 0.185 Ho
0.665 0.665 0.815 Ho
0.000 0.000 0.500 Sc
```

=====

[6]
The following is a simulated X-ray diffraction stick pattern of Y6AlSe5. It was derived from the PBE geometry in Alexandria, using copper Kα.

Top 8 peaks for 10 to 90 degrees two-theta, most intense first:
- 2θ = 30.6°, rel. 100.0
- 2θ = 43.8°, rel. 36.4
- 2θ = 44.0°, rel. 36.0
- 2θ = 54.5°, rel. 18.8
- 2θ = 72.3°, rel. 15.8
- 2θ = 72.5°, rel. 15.6
- 2θ = 80.7°, rel. 13.6
- 2θ = 63.8°, rel. 11.5

```
Y6AlSe5
1.0
3.584 -6.176 0.000
3.584 6.176 0.000
-2.373 0.000 6.734
Y Al Se
6 1 5
Direct
0.082 0.409 0.746 Y
0.245 0.245 0.255 Y
0.409 0.082 0.746 Y
0.591 0.918 0.254 Y
0.755 0.755 0.745 Y
0.918 0.591 0.254 Y
0.000 0.000 0.500 Al
0.169 0.831 0.000 Se
0.334 0.666 0.500 Se
0.500 0.500 0.000 Se
0.666 0.334 0.500 Se
0.831 0.169 0.000 Se
```

=====

[7]
The following is a simulated X-ray diffraction stick pattern of Hf5N4. It was derived from the PBE geometry in Alexandria, using copper Kα.

Top 8 peaks for 10 to 90 degrees two-theta, most intense first:
- 2θ = 34.2°, rel. 100.0
- 2θ = 39.9°, rel. 41.9
- 2θ = 57.3°, rel. 28.9
- 2θ = 68.9°, rel. 27.4
- 2θ = 39.4°, rel. 21.9
- 2θ = 68.1°, rel. 14.4
- 2θ = 72.1°, rel. 14.3
- 2θ = 57.7°, rel. 14.0

```
Hf5N4
1.0
-3.571 3.571 2.288
3.571 -3.571 2.288
3.571 3.571 -2.288
Hf N
5 4
Direct
0.000 0.000 0.000 Hf
0.194 0.605 0.799 Hf
0.395 0.194 0.589 Hf
0.605 0.806 0.411 Hf
0.806 0.395 0.201 Hf
0.100 0.303 0.402 N
0.303 0.900 0.203 N
0.697 0.100 0.797 N
0.900 0.697 0.598 N
```

=====

[8]
The following is a simulated X-ray diffraction stick pattern of Li6Cd5Hg. It was derived from the PBE geometry in Alexandria, using copper Kα.

Top 8 peaks for 10 to 90 degrees two-theta, most intense first:
- 2θ = 26.8°, rel. 100.0
- 2θ = 38.2°, rel. 68.5
- 2θ = 27.1°, rel. 48.7
- 2θ = 38.7°, rel. 44.2
- 2θ = 38.3°, rel. 22.7
- 2θ = 47.4°, rel. 20.7
- 2θ = 62.2°, rel. 18.0
- 2θ = 69.0°, rel. 15.3

```
Li6Cd5Hg
1.0
2.349 -7.078 0.000
2.349 7.078 0.000
-0.099 0.000 6.588
Li Cd Hg
6 5 1
Direct
0.000 0.000 0.244 Li
0.000 0.000 0.756 Li
0.336 0.664 0.249 Li
0.336 0.664 0.751 Li
0.664 0.336 0.249 Li
0.664 0.336 0.751 Li
0.167 0.833 0.500 Cd
0.170 0.830 0.000 Cd
0.500 0.500 0.500 Cd
0.830 0.170 0.000 Cd
0.833 0.167 0.500 Cd
0.500 0.500 0.000 Hg
```